[1]
This entry pairs a crystal structure of ZnGa5Ag4 with its simulated XRD peak list. Radiation: Cu Kα, 1.54184 Å. Structure: a structure optimized by DFT (GGA-PBE).
Lines closer than 0.1° are merged.

Crystal structure
Lattice parameters (Å, degrees): 8.591 8.952 4.916 90.00 90.00 90.00
Space group Pmmn (No. 59, origin choice 2)
Unique sites:
Zn 0.250 0.250 0.142 x2
Ga 0.079 0.011 0.267 x8
Ga 0.250 0.750 0.451 x2
Ag 0.066 0.750 0.979 x4
Ag 0.250 0.014 0.758 x4

Top 8 peaks for 2θ = 15–90°, in order of rising 2θ:
two_theta, d/Å, intensity, h k l
26.9, 3.310, 21, 0 2 1
34.2, 2.622, 19, 2 2 1
36.3, 2.474, 33, 3 0 1
37.7, 2.385, 38, 3 1 1
40.3, 2.238, 54, 0 4 0
41.7, 2.166, 100, 3 2 1
41.9, 2.155, 76, 0 2 2
80.6, 1.193, 19, 6 2 2

[2]
This entry pairs a crystal structure of Zn4GaAg5 with its simulated XRD peak list. Radiation: Cu Kα, 1.54184 Å. Structure: a structure optimized by DFT (GGA-PBE).
Lines closer than 0.1° are merged.

Crystal structure
Lattice parameters (Å, degrees): 3.182 3.182 16.239 90.00 90.00 90.00
Space group P4/mmm (No. 123)
Unique sites:
Zn 0.000 0.000 0.097 x2
Zn 0.000 0.000 0.291 x2
Ga 0.000 0.000 0.500 x1
Ag 0.500 0.500 0.000 x1
Ag 0.500 0.500 0.195 x2
Ag 0.500 0.500 0.391 x2

Top 8 peaks for 2θ = 15–90°, in order of rising 2θ:
two_theta, d/Å, intensity, h k l
28.0, 3.182, 7, 1 0 0
39.7, 2.273, 100, 1 0 5
40.1, 2.250, 50, 1 1 0
56.7, 1.624, 7, 0 0 10
58.0, 1.591, 16, 2 0 0
71.7, 1.317, 14, 1 1 10
72.5, 1.304, 31, 2 1 5
85.4, 1.137, 9, 2 0 10

[3]
This entry pairs a crystal structure of Zn2GaAg6 with its simulated XRD peak list. Radiation: Cu Kα, 1.54184 Å. Structure: a structure optimized by DFT (GGA-PBE).
Lines closer than 0.1° are merged.

Crystal structure
Lattice parameters (Å, degrees): 14.261 9.456 4.638 90.00 97.59 90.00
Space group C2/c (No. 15)
Unique sites:
Zn 0.172 0.137 0.083 x8
Ga 0.000 0.356 0.250 x4
Ag 0.066 0.111 0.533 x8
Ag 0.104 0.382 0.803 x8
Ag 0.228 0.384 0.366 x8

Top 8 peaks for 2θ = 15–90°, in order of rising 2θ:
two_theta, d/Å, intensity, h k l
36.3, 2.475, 60, 5 1 -1
38.1, 2.364, 53, 0 4 0
39.1, 2.304, 100, 4 2 1
40.0, 2.251, 52, 1 1 -2
45.6, 1.989, 36, 5 3 -1
48.8, 1.867, 22, 1 3 -2
69.5, 1.353, 14, 4 6 1
71.7, 1.316, 15, 6 2 -3

[4]
This entry pairs a crystal structure of Zn14GaAg with its simulated XRD peak list. Radiation: Cu Kα, 1.54184 Å. Structure: a structure optimized by DFT (GGA-PBE).
Lines closer than 0.1° are merged.

Crystal structure
Lattice parameters (Å, degrees): 9.655 5.339 9.619 90.00 90.00 90.00
Space group Amm2 (No. 38)
Unique sites:
Zn 0.000 0.000 0.000 x2
Zn 0.000 0.000 0.499 x2
Zn 0.000 0.249 0.751 x4
Zn 0.244 0.248 0.064 x8
Zn 0.246 0.000 0.316 x4
Zn 0.251 0.000 0.814 x4
Zn 0.500 0.250 0.367 x4
Ga 0.500 0.000 0.118 x2
Ag 0.500 0.000 0.615 x2

Top 8 peaks for 2θ = 15–90°, in order of rising 2θ:
two_theta, d/Å, intensity, h k l
37.3, 2.414, 50, 4 0 0
37.4, 2.405, 15, 0 0 4
38.6, 2.334, 25, 1 0 4
39.7, 2.269, 20, 1 2 2
42.0, 2.153, 13, 2 0 4
43.0, 2.101, 100, 2 2 2
47.2, 1.926, 14, 3 0 4
71.2, 1.325, 20, 6 2 2

What is the formula in the fourth record? Zn14GaAg